[1]
This entry pairs a crystal structure of Li5Fe8B8O24 with its simulated powder X-ray diffraction pattern. Radiation: λ = 1.5418 Å (Cu Kα). Structure: a cell relaxed with PBE+U.
Lines closer than 0.1° are merged.

Main lines, by angle (2θ = 15–90°):
| d [Å] | I (rel.) | hkl |
| --- | --- | --- |
| 4.582 | 22 | 1 -1 0 |
| 4.534 | 67 | 0 2 0 |
| 4.144 | 57 | 1 -1 1 |
| 4.119 | 84 | 1 1 1 |
| 3.434 | 62 | 1 1 -2 |
| 3.340 | 25 | 1 1 2 |
| 2.646 | 29 | 2 0 0 |
| 2.631 | 41 | 1 -3 0 |
| 2.618 | 29 | 1 3 0 |
| 2.530 | 100 | 0 0 4 |
| 2.237 | 26 | 2 2 -1 |
| 1.831 | 22 | 1 1 5 |

Atomic structure:
a = 5.2938 Å, b = 9.0676 Å, c = 10.1254 Å
α = 90.39°, β = 91.63°, γ = 90.34°
Element x y z (fractional)
Li (0.0000, 0.0000, 0.0000)
Li (0.0138, 0.9906, 0.5135)
Li (0.3257, 0.0032, 0.2494)
Li (0.4961, 0.4956, 0.9797)
Li (0.8196, 0.5104, 0.2488)
Fe (0.0034, 0.3356, 0.4723)
Fe (0.3218, 0.6686, 0.7300)
Fe (0.3240, 0.3412, 0.2264)
Fe (0.4950, 0.1548, 0.9734)
Fe (0.5081, 0.8268, 0.4781)
Fe (0.8156, 0.1693, 0.7298)
Fe (0.8198, 0.8382, 0.2237)
Fe (0.9940, 0.6577, 0.9752)
B (0.0060, 0.6689, 0.4743)
B (0.3203, 0.3315, 0.7270)
B (0.3252, 0.6672, 0.2201)
B (0.4898, 0.1653, 0.4716)
B (0.4952, 0.8322, 0.9761)
B (0.8243, 0.1669, 0.2254)
B (0.8292, 0.8338, 0.7259)
B (0.9963, 0.3290, 0.9757)
O (0.0670, 0.6643, 0.1886)
O (0.0733, 0.3098, 0.6722)
O (0.2422, 0.6772, 0.5357)
O (0.2502, 0.3259, 0.0137)
O (0.3482, 0.9556, 0.9861)
O (0.3606, 0.2950, 0.4407)
O (0.3676, 0.0328, 0.4585)
O (0.3848, 0.6972, 0.9355)
O (0.4115, 0.4683, 0.7536)
O (0.4426, 0.7979, 0.2628)
O (0.4633, 0.2071, 0.7573)
O (0.4685, 0.5411, 0.2059)
O (0.5686, 0.1645, 0.1919)
O (0.5784, 0.8130, 0.6903)
O (0.7495, 0.1746, 0.5119)
O (0.7527, 0.8371, 0.0090)
O (0.8534, 0.4525, 0.9849)
O (0.8830, 0.1940, 0.9284)
O (0.8843, 0.7992, 0.4385)
O (0.8964, 0.5330, 0.4456)
O (0.9343, 0.9736, 0.7116)
O (0.9380, 0.2998, 0.2716)
O (0.9713, 0.0433, 0.2109)
O (0.9745, 0.7167, 0.7688)


[2]
This entry pairs a crystal structure of TiFeO4 with its simulated powder X-ray diffraction pattern. Radiation: λ = 1.5418 Å (Cu Kα). Structure: a cell relaxed with PBE+U.
Lines closer than 0.1° are merged.

Main lines, by angle (2θ = 15–90°):
| d [Å] | I (rel.) | hkl |
| --- | --- | --- |
| 3.548 | 100 | 1 1 0 |
| 2.457 | 8 | 1 1 -2 |
| 2.408 | 19 | 0 0 2 |
| 2.354 | 10 | 2 0 0 |
| 1.908 | 28 | 2 2 -1 |
| 1.720 | 19 | 1 1 2 |
| 1.682 | 10 | 3 1 -1 |
| 1.679 | 10 | 1 3 -1 |
| 1.507 | 4 | 1 3 1 |
| 1.496 | 14 | 2 2 -3 |
| 1.380 | 8 | 2 0 2 |
| 1.278 | 12 | 3 1 -4 |

Atomic structure:
a = 5.4030 Å, b = 5.3917 Å, c = 5.5217 Å
α = 90.00°, β = 119.27°, γ = 90.00°
Element x y z (fractional)
Ti (0.2449, 0.0000, 0.4907)
Ti (0.7551, 0.5000, 0.5093)
Fe (0.2517, 0.7502, 0.0008)
Fe (0.7483, 0.2502, 0.9992)
O (0.0445, 0.9997, 0.0882)
O (0.0505, 0.7529, 0.5910)
O (0.4579, 0.0003, 0.9147)
O (0.4596, 0.7467, 0.4097)
O (0.5404, 0.2467, 0.5903)
O (0.5421, 0.5003, 0.0853)
O (0.9495, 0.2529, 0.4090)
O (0.9555, 0.4997, 0.9118)


[3]
This entry pairs a crystal structure of YMo3Se2ClO8 with its simulated powder X-ray diffraction pattern. Radiation: λ = 1.5418 Å (Cu Kα). Structure: a cell relaxed with PBE+U.
Lines closer than 0.1° are merged.

Main lines, by angle (2θ = 15–90°):
| d [Å] | I (rel.) | hkl |
| --- | --- | --- |
| 5.718 | 62 | 1 0 -1 |
| 4.190 | 44 | 0 1 -2 |
| 3.179 | 45 | 1 0 3 |
| 3.166 | 48 | 1 0 -3 |
| 3.082 | 77 | 0 2 2 |
| 3.070 | 48 | 2 1 0 |
| 3.036 | 64 | 2 -1 0 |
| 2.907 | 100 | 0 2 -2 |
| 2.866 | 54 | 2 0 2 |
| 2.851 | 84 | 2 0 -2 |
| 2.476 | 40 | 0 1 -4 |
| 2.459 | 39 | 1 2 3 |

Atomic structure:
a = 6.7457 Å, b = 7.2045 Å, c = 10.8070 Å
α = 86.37°, β = 89.65°, γ = 89.15°
Element x y z (fractional)
Y (0.0000, 0.0000, 0.0000)
Y (0.4967, 0.5242, 0.4849)
Mo (0.0298, 0.5043, 0.9723)
Mo (0.2477, 0.2496, 0.7359)
Mo (0.2543, 0.2678, 0.2380)
Mo (0.5133, 0.0210, 0.4915)
Mo (0.7506, 0.2604, 0.7372)
Mo (0.7530, 0.2737, 0.2319)
Se (0.0145, 0.6782, 0.2954)
Se (0.5012, 0.8613, 0.1732)
Se (0.5175, 0.8860, 0.8805)
Se (0.9832, 0.6285, 0.5968)
Cl (0.0693, 0.0590, 0.5894)
Cl (0.3892, 0.4521, 0.9143)
O (0.0017, 0.2911, 0.8584)
O (0.0062, 0.2851, 0.1077)
O (0.0601, 0.6965, 0.1313)
O (0.2034, 0.5174, 0.3361)
O (0.2131, 0.4872, 0.6062)
O (0.2831, 0.0182, 0.8727)
O (0.3095, 0.0223, 0.1361)
O (0.4685, 0.8456, 0.3349)
O (0.5002, 0.2228, 0.6200)
O (0.5071, 0.2565, 0.3587)
O (0.5590, 0.7785, 0.5693)
O (0.6992, 0.0655, 0.8950)
O (0.7183, 0.9970, 0.1595)
O (0.7985, 0.5469, 0.3024)
O (0.8037, 0.4491, 0.5774)
O (0.9194, 0.7251, 0.9155)


Copy entry 2 word for word.
This entry pairs a crystal structure of TiFeO4 with its simulated powder X-ray diffraction pattern. Radiation: λ = 1.5418 Å (Cu Kα). Structure: a cell relaxed with PBE+U.
Lines closer than 0.1° are merged.

Main lines, by angle (2θ = 15–90°):
| d [Å] | I (rel.) | hkl |
| --- | --- | --- |
| 3.548 | 100 | 1 1 0 |
| 2.457 | 8 | 1 1 -2 |
| 2.408 | 19 | 0 0 2 |
| 2.354 | 10 | 2 0 0 |
| 1.908 | 28 | 2 2 -1 |
| 1.720 | 19 | 1 1 2 |
| 1.682 | 10 | 3 1 -1 |
| 1.679 | 10 | 1 3 -1 |
| 1.507 | 4 | 1 3 1 |
| 1.496 | 14 | 2 2 -3 |
| 1.380 | 8 | 2 0 2 |
| 1.278 | 12 | 3 1 -4 |

Atomic structure:
a = 5.4030 Å, b = 5.3917 Å, c = 5.5217 Å
α = 90.00°, β = 119.27°, γ = 90.00°
Element x y z (fractional)
Ti (0.2449, 0.0000, 0.4907)
Ti (0.7551, 0.5000, 0.5093)
Fe (0.2517, 0.7502, 0.0008)
Fe (0.7483, 0.2502, 0.9992)
O (0.0445, 0.9997, 0.0882)
O (0.0505, 0.7529, 0.5910)
O (0.4579, 0.0003, 0.9147)
O (0.4596, 0.7467, 0.4097)
O (0.5404, 0.2467, 0.5903)
O (0.5421, 0.5003, 0.0853)
O (0.9495, 0.2529, 0.4090)
O (0.9555, 0.4997, 0.9118)